The following is a calculated powder diffraction line list of PrInBiPb. It was derived from a structure optimized by DFT (PBE), using Cu Kα X-rays.
Kinematic intensities with the Lorentz-polarization factor, no thermal factor.

The 6 most intense peaks (2θ = 10–90°), by intensity:
two_theta	d/Å	I (rel.)
31.52	2.839	100
35.81	2.507	18
36.61	2.455	17
37.23	2.415	16
61.68	1.504	15
62.74	1.481	14

Atomic structure:
abc: 4.831 4.909 5.015
angles: 90.00 90.00 90.00
Sites, in units of the cell vectors:
Pr1 0.000 0.000 0.000
In1 0.000 0.500 0.500
Bi1 0.500 0.500 0.000
Pb1 0.500 0.000 0.500

***

The following is a calculated powder diffraction line list of BaIn2S4. It was derived from a structure optimized by DFT (PBE), using Cu Kα X-rays.
Kinematic intensities with the Lorentz-polarization factor, no thermal factor.

The 6 most intense peaks (2θ = 10–90°), by intensity:
two_theta	d/Å	I (rel.)
35.40	2.535	100
22.61	3.933	72
22.28	3.990	43
46.21	1.964	31
31.96	2.800	30
27.71	3.220	27

Atomic structure:
abc: 6.443 6.443 11.201
angles: 90.00 90.00 118.05
Sites, in units of the cell vectors:
Ba1 0.000 0.000 0.250
Ba2 0.000 0.000 0.750
In1 0.269 0.726 0.000
In2 0.274 0.731 0.500
In3 0.726 0.269 0.500
In4 0.731 0.274 0.000
S1 0.000 0.500 0.168
S2 0.000 0.500 0.832
S3 0.139 0.304 0.500
S4 0.304 0.139 0.000
S5 0.500 0.000 0.332
S6 0.500 0.000 0.668
S7 0.696 0.861 0.000
S8 0.861 0.696 0.500

***

The following is a calculated powder diffraction line list of Nd4SmDy2. It was derived from a structure optimized by DFT (PBE), using Cu Kα X-rays.
Kinematic intensities with the Lorentz-polarization factor, no thermal factor.

The 6 most intense peaks (2θ = 10–90°), by intensity:
two_theta	d/Å	I (rel.)
30.01	2.977	100
31.25	2.862	65
30.51	2.930	32
31.94	2.802	31
36.81	2.442	29
32.12	2.786	23

Atomic structure:
abc: 12.627 12.627 6.854
angles: 97.01 97.01 150.16
Sites, in units of the cell vectors:
Nd1 0.019 0.981 0.500
Nd2 0.391 0.783 0.729
Nd3 0.399 0.862 0.260
Nd4 0.434 0.542 0.530
Nd5 0.542 0.434 0.030
Nd6 0.783 0.391 0.229
Nd7 0.862 0.399 0.760
Nd8 0.981 0.019 0.000
Sm1 0.153 0.904 0.129
Sm2 0.904 0.153 0.629
Dy1 0.272 0.953 0.679
Dy2 0.471 0.653 0.079
Dy3 0.653 0.471 0.579
Dy4 0.953 0.272 0.179

***

The following is a calculated powder diffraction line list of Zr4Bi3. It was derived from a structure optimized by DFT (PBE), using Cu Kα X-rays.
Kinematic intensities with the Lorentz-polarization factor, no thermal factor.

The 6 most intense peaks (2θ = 10–90°), by intensity:
two_theta	d/Å	I (rel.)
31.95	2.801	100
38.01	2.367	72
24.62	3.616	42
64.90	1.437	34
45.82	1.981	30
79.52	1.205	22

Atomic structure:
abc: 7.671 7.671 7.671
angles: 109.47 109.47 109.47
Sites, in units of the cell vectors:
Zr1 0.000 0.160 0.500
Zr2 0.000 0.660 0.500
Zr3 0.160 0.500 0.000
Zr4 0.340 0.340 0.340
Zr5 0.500 0.000 0.160
Zr6 0.500 0.000 0.660
Zr7 0.660 0.500 0.000
Zr8 0.840 0.840 0.840
Bi1 0.125 0.875 0.250
Bi2 0.250 0.125 0.875
Bi3 0.375 0.625 0.750
Bi4 0.625 0.750 0.375
Bi5 0.750 0.375 0.625
Bi6 0.875 0.250 0.125

***

The following is a calculated powder diffraction line list of SrSnP. It was derived from a structure optimized by DFT (PBE), using Cu Kα X-rays.
Kinematic intensities with the Lorentz-polarization factor, no thermal factor.

The 6 most intense peaks (2θ = 10–90°), by intensity:
two_theta	d/Å	I (rel.)
28.79	3.101	100
28.36	3.147	56
41.80	2.161	43
41.17	2.193	38
29.65	3.013	28
50.74	1.799	23

Atomic structure:
abc: 4.386 4.386 9.039
angles: 90.00 90.00 90.00
Sites, in units of the cell vectors:
Sr1 0.250 0.250 0.166
Sr2 0.750 0.750 0.834
Sn1 0.250 0.250 0.553
Sn2 0.750 0.750 0.447
P1 0.250 0.250 0.827
P2 0.750 0.750 0.173

***

The following is a calculated powder diffraction line list of La8Co3NiCl4. It was derived from a structure optimized by DFT (PBE), using Cu Kα X-rays.
Kinematic intensities with the Lorentz-polarization factor, no thermal factor.

The 6 most intense peaks (2θ = 10–90°), by intensity:
two_theta	d/Å	I (rel.)
30.15	2.964	100
29.24	3.054	59
11.62	7.614	46
44.31	2.044	39
26.64	3.346	33
40.63	2.221	32

Atomic structure:
abc: 8.181 8.181 8.896
angles: 116.81 116.81 58.54
Sites, in units of the cell vectors:
La1 0.230 0.741 0.701
La2 0.238 0.238 0.701
La3 0.259 0.770 0.299
La4 0.261 0.261 0.300
La5 0.739 0.739 0.700
La6 0.741 0.230 0.701
La7 0.762 0.762 0.299
La8 0.770 0.259 0.299
Co1 0.000 0.000 0.500
Co2 0.000 0.500 0.500
Co3 0.500 0.000 0.500
Ni1 0.500 0.500 0.500
Cl1 0.000 0.000 0.000
Cl2 0.000 0.500 0.000
Cl3 0.500 0.000 0.000
Cl4 0.500 0.500 0.000

***

The following is a calculated powder diffraction line list of Ca3Os5. It was derived from a structure optimized by DFT (PBE), using Cu Kα X-rays.
Kinematic intensities with the Lorentz-polarization factor, no thermal factor.

The 6 most intense peaks (2θ = 10–90°), by intensity:
two_theta	d/Å	I (rel.)
10.50	8.423	100
16.13	5.494	46
35.43	2.534	27
37.03	2.428	26
39.97	2.256	24
43.35	2.087	15

Atomic structure:
abc: 4.807 8.555 8.555
angles: 79.91 90.00 90.00
Sites, in units of the cell vectors:
Ca1 0.250 0.141 0.859
Ca2 0.250 0.564 0.082
Ca3 0.250 0.940 0.427
Ca4 0.750 0.082 0.564
Ca5 0.750 0.427 0.940
Ca6 0.750 0.859 0.141
Os1 0.000 0.216 0.216
Os2 0.000 0.755 0.755
Os3 0.250 0.344 0.440
Os4 0.250 0.494 0.689
Os5 0.250 0.638 0.392
Os6 0.500 0.216 0.216
Os7 0.500 0.755 0.755
Os8 0.750 0.392 0.638
Os9 0.750 0.440 0.344
Os10 0.750 0.689 0.494

***

The following is a calculated powder diffraction line list of Nd12Ho5Er. It was derived from a structure optimized by DFT (PBE), using Cu Kα X-rays.
Kinematic intensities with the Lorentz-polarization factor, no thermal factor.

The 6 most intense peaks (2θ = 10–90°), by intensity:
two_theta	d/Å	I (rel.)
30.15	2.964	100
34.90	2.571	34
59.67	1.550	29
50.31	1.814	24
35.07	2.559	17
59.89	1.544	14

Atomic structure:
abc: 10.880 10.880 5.142
angles: 90.00 90.00 90.25
Sites, in units of the cell vectors:
Nd1 0.002 0.668 0.500
Nd2 0.165 0.165 0.000
Nd3 0.169 0.502 0.000
Nd4 0.332 0.998 0.500
Nd5 0.335 0.335 0.500
Nd6 0.498 0.831 0.000
Nd7 0.502 0.169 0.000
Nd8 0.665 0.665 0.500
Nd9 0.668 0.002 0.500
Nd10 0.831 0.498 0.000
Nd11 0.835 0.835 0.000
Nd12 0.998 0.332 0.500
Ho1 0.000 0.000 0.500
Ho2 0.167 0.833 0.000
Ho3 0.333 0.667 0.500
Ho4 0.667 0.333 0.500
Ho5 0.833 0.167 0.000
Er1 0.500 0.500 0.000

***

The following is a calculated powder diffraction line list of Ni2PCl. It was derived from a structure optimized by DFT (PBE), using Cu Kα X-rays.
Kinematic intensities with the Lorentz-polarization factor, no thermal factor.

The 6 most intense peaks (2θ = 10–90°), by intensity:
two_theta	d/Å	I (rel.)
50.52	1.807	100
28.77	3.103	96
42.68	2.118	86
14.79	5.991	76
28.93	3.086	61
47.43	1.917	50

Atomic structure:
abc: 6.402 6.402 3.212
angles: 104.42 104.42 28.89
Sites, in units of the cell vectors:
Ni1 0.000 0.000 0.000
Ni2 0.168 0.168 0.667
P1 0.543 0.543 0.542
Cl1 0.806 0.806 0.805

***

The following is a calculated powder diffraction line list of CeTe2O8. It was derived from a structure optimized by DFT (PBE), using Cu Kα X-rays.
Kinematic intensities with the Lorentz-polarization factor, no thermal factor.

The 6 most intense peaks (2θ = 10–90°), by intensity:
two_theta	d/Å	I (rel.)
28.89	3.091	100
18.57	4.778	40
47.93	1.898	36
57.30	1.608	28
33.66	2.662	19
48.35	1.883	16

Atomic structure:
abc: 6.594 6.594 6.594
angles: 132.37 132.37 69.64
Sites, in units of the cell vectors:
Ce1 0.000 0.000 0.000
Te1 0.250 0.750 0.500
Te2 0.750 0.250 0.500
O1 0.048 0.563 0.876
O2 0.172 0.048 0.485
O3 0.313 0.437 0.485
O4 0.437 0.952 0.124
O5 0.563 0.687 0.515
O6 0.687 0.172 0.124
O7 0.828 0.313 0.876
O8 0.952 0.828 0.515

***

The following is a calculated powder diffraction line list of Na2Cd6In3. It was derived from a structure optimized by DFT (PBE), using Cu Kα X-rays.
Kinematic intensities with the Lorentz-polarization factor, no thermal factor.

The 6 most intense peaks (2θ = 10–90°), by intensity:
two_theta	d/Å	I (rel.)
38.16	2.358	100
30.63	2.918	67
37.89	2.374	45
23.11	3.849	43
29.94	2.984	43
40.53	2.226	39

Atomic structure:
abc: 8.999 8.999 3.849
angles: 90.00 90.00 95.81
Sites, in units of the cell vectors:
Na1 0.185 0.815 0.000
Na2 0.815 0.185 0.000
Cd1 0.115 0.115 0.500
Cd2 0.157 0.510 0.500
Cd3 0.490 0.843 0.500
Cd4 0.510 0.157 0.500
Cd5 0.843 0.490 0.500
Cd6 0.885 0.885 0.500
In1 0.299 0.299 0.000
In2 0.500 0.500 0.500
In3 0.701 0.701 0.000

***

The following is a calculated powder diffraction line list of PuIn2Hg4. It was derived from a structure optimized by DFT (PBE), using Cu Kα X-rays.
Kinematic intensities with the Lorentz-polarization factor, no thermal factor.

The 6 most intense peaks (2θ = 10–90°), by intensity:
two_theta	d/Å	I (rel.)
35.12	2.555	100
35.89	2.502	50
64.01	1.455	36
51.67	1.769	18
62.51	1.486	16
27.96	3.191	14

Atomic structure:
abc: 5.004 5.004 7.387
angles: 90.00 90.00 90.00
Sites, in units of the cell vectors:
Pu1 0.000 0.000 0.000
In1 0.000 0.000 0.500
In2 0.500 0.500 0.000
Hg1 0.000 0.500 0.273
Hg2 0.000 0.500 0.727
Hg3 0.500 0.000 0.273
Hg4 0.500 0.000 0.727

***

Q: Number 11 is which compound?
A: Na2Cd6In3